1.
Nd5SmY12: computed powder diffraction line list (Cu Kα (λ = 1.5418 Å)), based on a structure optimized by DFT (PBE).
Kinematic intensities with the Lorentz-polarization factor, no thermal factor.

```
18
Lattice="10.8029 0.0000 0.0000 0.0000 5.1036 0.0000 -0.0258 0.0000 10.8204" Properties=species:S:1:pos:R:3 pbc="T T T"
Nd 0.0000 0.0000 0.0000
Nd 1.7799 2.5518 9.0168
Nd 3.5887 0.0000 7.2088
Nd 7.1884 0.0000 3.6116
Nd 8.9972 2.5518 1.8036
Sm 5.3885 2.5518 5.4102
Y 0.0011 0.0000 3.6175
Y 1.7837 2.5518 5.4026
Y 1.8066 2.5518 1.8134
Y 3.5882 0.0000 3.6034
Y 3.6125 0.0000 0.0092
Y 5.3883 2.5518 1.8003
Y 5.3888 2.5518 9.0201
Y 7.1646 0.0000 10.8113
Y 7.1889 0.0000 7.2170
Y 8.9704 2.5518 9.0070
Y 8.9934 2.5518 5.4178
Y 10.7759 0.0000 7.2029
```

Largest 10 diffraction maxima, sorted by position, 2θ from 10° to 80°:
d_spacing  Position (°2θ)  I (rel.)
7.636  11.6  6
3.512  25.4  4
2.944  30.4  100
2.549  35.2  50
1.803  50.6  29
1.800  50.7  6
1.538  60.2  28
1.536  60.3  14
1.472  63.2  12
1.276  74.4  4



2.
Nd7SmY12: computed powder diffraction line list (Cu Kα (λ = 1.5418 Å)), based on a structure optimized by DFT (PBE).
Kinematic intensities with the Lorentz-polarization factor, no thermal factor.

```
20
Lattice="6.0494 3.4926 5.4608 -6.0494 3.4926 5.4608 0.0000 -6.9852 5.4608" Properties=species:S:1:pos:R:3 pbc="T T T"
Nd 0.0000 0.0000 0.0000
Nd -1.9404 -0.5722 4.7620
Nd 1.4657 -1.3944 4.7620
Nd 0.4747 1.9665 4.7620
Nd -0.4747 -1.9666 11.6203
Nd -1.4657 1.3944 11.6203
Nd 1.9404 0.5722 11.6203
Sm 0.0000 0.0000 8.1912
Y -5.3252 0.5530 6.8276
Y -3.1415 -4.3352 9.5548
Y -0.7779 -3.2415 7.3050
Y -3.1962 -0.9471 9.0773
Y -2.4183 2.2945 7.3050
Y 2.1836 -4.8883 6.8276
Y -2.1836 4.8882 9.5548
Y 2.4183 -2.2945 9.0773
Y 3.1962 0.9470 7.3051
Y 0.7779 3.2415 9.0773
Y 3.1415 4.3352 6.8276
Y 5.3252 -0.5530 9.5548
```

Largest 10 diffraction maxima, sorted by position, 2θ from 10° to 80°:
d_spacing  Position (°2θ)  I (rel.)
3.227  27.6  22
3.127  28.5  34
2.942  30.4  47
2.861  31.3  100
2.847  31.4  45
2.739  32.7  77
2.490  36.1  19
1.819  50.2  19
1.678  54.7  29
1.589  58.0  17



3.
Nd4Sm6Y: computed powder diffraction line list (Cu Kα (λ = 1.5418 Å)), based on a structure optimized by DFT (PBE).
Kinematic intensities with the Lorentz-polarization factor, no thermal factor.

```
11
Lattice="-3.3697 3.3697 8.5948 3.3697 -3.3697 8.5948 3.3697 3.3697 -8.5948" Properties=species:S:1:pos:R:3 pbc="T T T"
Nd 2.0933 -2.0933 5.5506
Nd 1.2765 1.2765 3.0443
Nd -2.0933 2.0933 5.5506
Nd 2.0933 2.0933 11.6391
Sm 3.3697 0.0000 0.0000
Sm 2.1837 2.1837 -2.1407
Sm 1.1860 -1.1860 10.7355
Sm 0.0000 3.3697 0.0000
Sm 1.1860 1.1860 6.4542
Sm -1.1860 1.1860 10.7355
Y 0.0000 0.0000 0.0000
```

Largest 10 diffraction maxima, sorted by position, 2θ from 10° to 80°:
d_spacing  Position (°2θ)  I (rel.)
3.191  28.0  52
3.137  28.5  57
3.062  29.2  26
2.969  30.1  100
2.865  31.2  23
2.652  33.8  64
2.455  36.6  33
2.383  37.8  27
2.266  39.8  35
1.627  56.6  29



4.
Nd2SmY7: computed powder diffraction line list (Cu Kα (λ = 1.5418 Å)), based on a structure optimized by DFT (PBE).
Kinematic intensities with the Lorentz-polarization factor, no thermal factor.

```
10
Lattice="6.2266 0.0000 0.0000 -1.0239 6.1467 0.0000 -3.1017 -2.6193 8.6041" Properties=species:S:1:pos:R:3 pbc="T T T"
Nd 0.0032 -0.5162 1.7199
Nd 2.0978 4.0437 6.8841
Sm 1.0505 1.7637 4.3020
Y -2.0540 1.2412 6.0247
Y -1.0204 4.5762 5.1584
Y 1.0480 2.8130 0.8637
Y 3.1133 0.0000 0.0000
Y 1.0530 0.7145 7.7404
Y 3.1214 -1.0488 3.4457
Y 4.1550 2.2863 2.5793
```

Largest 10 diffraction maxima, sorted by position, 2θ from 10° to 80°:
d_spacing  Position (°2θ)  I (rel.)
2.939  30.4  100
2.933  30.5  33
2.544  35.3  67
1.801  50.7  16
1.798  50.8  31
1.536  60.3  18
1.533  60.4  36
1.470  63.2  8
1.467  63.4  8
1.271  74.7  5



5.
NdSm6Y6: computed powder diffraction line list (Cu Kα (λ = 1.5418 Å)), based on a structure optimized by DFT (PBE).
Kinematic intensities with the Lorentz-polarization factor, no thermal factor.

```
13
Lattice="3.5899 -5.6490 0.0000 3.5899 5.6490 0.0000 0.0000 0.0000 11.0549" Properties=species:S:1:pos:R:3 pbc="T T T"
Nd 0.0000 0.0000 0.0000
Sm 0.0000 0.0000 3.6323
Sm 0.0000 0.0000 7.4226
Sm 3.5899 2.8060 5.5275
Sm 3.5899 1.5767 0.0000
Sm 3.5899 -1.5767 0.0000
Sm 3.5899 -2.8060 5.5275
Y 1.7950 2.8245 2.4691
Y 1.7950 2.8245 8.5858
Y 1.7950 -2.8245 2.4691
Y 1.7950 -2.8245 8.5858
Y 3.5899 0.0000 3.4443
Y 3.5899 0.0000 7.6106
```

Largest 10 diffraction maxima, sorted by position, 2θ from 10° to 80°:
d_spacing  Position (°2θ)  I (rel.)
3.590  24.8  51
3.335  26.7  32
3.086  28.9  100
3.030  29.5  37
3.011  29.7  55
2.824  31.7  38
2.657  33.7  90
2.571  34.9  35
2.340  38.5  41
2.176  41.5  35



6.
Nd11Sm4Y9: computed powder diffraction line list (Cu Kα (λ = 1.5418 Å)), based on a structure optimized by DFT (PBE).
Kinematic intensities with the Lorentz-polarization factor, no thermal factor.

```
24
Lattice="8.5419 -12.8919 0.0000 8.5419 12.8919 0.0000 0.0000 0.0000 3.7237" Properties=species:S:1:pos:R:3 pbc="T T T"
Nd 0.0000 0.0000 0.0000
Nd 3.8656 4.6665 0.0000
Nd 8.5419 8.7799 0.0000
Nd 4.9799 0.0000 0.0000
Nd 8.5419 3.4232 0.0000
Nd 3.8656 -4.6665 0.0000
Nd 13.2181 4.6665 0.0000
Nd 8.5419 -3.4232 0.0000
Nd 12.1039 0.0000 0.0000
Nd 8.5419 -8.7799 0.0000
Nd 13.2181 -4.6665 0.0000
Sm 5.8866 2.6000 1.8618
Sm 5.8866 -2.6000 1.8618
Sm 11.1972 2.6000 1.8618
Sm 11.1972 -2.6000 1.8618
Y 2.3821 1.8851 1.8618
Y 6.8054 6.0513 1.8618
Y 2.3821 -1.8851 1.8618
Y 10.2784 6.0513 1.8618
Y 8.5419 0.0000 1.8618
Y 6.8054 -6.0513 1.8618
Y 14.7016 1.8851 1.8618
Y 10.2784 -6.0513 1.8618
Y 14.7016 -1.8851 1.8618
```

Largest 10 diffraction maxima, sorted by position, 2θ from 10° to 80°:
d_spacing  Position (°2θ)  I (rel.)
3.029  29.5  48
3.016  29.6  24
2.930  30.5  17
2.848  31.4  8
2.825  31.7  11
2.810  31.8  100
2.669  33.6  13
1.862  48.9  13
1.586  58.2  16
1.554  59.5  11